For Ag2Hg2F5, a structure optimized by DFT (GGA-PBE) gives the simulated X-ray powder pattern in this record (Cu Kα).
No peak broadening, texture or thermal motion is included.

Unit cell a=16.2722 b=6.3469 c=6.0115 alpha=90.00 beta=111.64 gamma=90.00
Space group C2 (No. 5)
Unique sites:
Ag: 0.0991 0.9998 0.0932
Ag: 0.0989 0.5000 0.6054
Hg: 0.0000 0.3677 0.0000
Hg: 0.0000 0.8677 0.5000
Hg: 0.2500 0.0698 0.7323
F: 0.0922 0.1400 0.7151
F: 0.0924 0.6398 0.9707
F: 0.1585 0.3148 0.3450
F: 0.1593 0.8151 0.4733
F: 0.2500 0.3993 0.8917

Top 10 peaks for 10° ≤ 2θ ≤ 90°, by angle:
2θ (°), Rel. int., index
23.5, 63, 3 1 -1
29.7, 45, 2 0 -2
30.5, 24, 2 2 0
31.3, 100, 3 1 1
41.4, 33, 2 2 -2
43.1, 26, 0 2 2
46.0, 22, 6 2 0
47.1, 30, 3 3 -1
53.7, 27, 1 1 3
55.7, 19, 4 2 2